[1]
This entry pairs a crystal structure of Mg15Cr with its simulated powder diffractogram. Radiation: Cu Kα X-rays. Structure: a crystal structure in the Materials Project, relaxed with PBE.
Peak positions follow from Bragg's law for the DFT cell and can differ from measured ones.

Atomic structure:
Cell: 6.350 6.350 10.215 Å, 90.00 90.00 120.00°
Element x y z (fractional)
1 Mg 0.000 0.000 0.000
2 Mg 0.000 0.500 0.000
3 Mg 0.000 0.500 0.500
4 Mg 0.165 0.330 0.253
5 Mg 0.165 0.330 0.747
6 Mg 0.165 0.835 0.253
7 Mg 0.165 0.835 0.747
8 Mg 0.500 0.000 0.000
9 Mg 0.500 0.000 0.500
10 Mg 0.500 0.500 0.000
11 Mg 0.500 0.500 0.500
12 Mg 0.667 0.333 0.249
13 Mg 0.667 0.333 0.751
14 Mg 0.670 0.835 0.253
15 Mg 0.670 0.835 0.747
16 Cr 0.000 0.000 0.500

Top 10 peaks for 2θ = 15–90°, by angle:
- 2θ = 18.3°, 4.842 Å, I 4
- 2θ = 32.6°, 2.750 Å, I 24
- 2θ = 35.1°, 2.554 Å, I 26
- 2θ = 37.1°, 2.421 Å, I 100
- 2θ = 48.7°, 1.871 Å, I 15
- 2θ = 58.1°, 1.588 Å, I 17
- 2θ = 64.4°, 1.447 Å, I 18
- 2θ = 69.8°, 1.348 Å, I 19
- 2θ = 71.0°, 1.328 Å, I 13
- 2θ = 79.1°, 1.211 Å, I 3


[2]
This entry pairs a crystal structure of Te7O6F30 with its simulated powder diffractogram. Radiation: Cu Kα X-rays. Structure: a crystal structure in the Materials Project, relaxed with PBE.
Peak positions follow from Bragg's law for the DFT cell and can differ from measured ones.

Atomic structure:
Cell: 10.771 10.771 10.771 Å, 50.12 50.12 50.12°
Element x y z (fractional)
1 Te 0.000 0.000 0.000
2 Te 0.081 0.392 0.768
3 Te 0.232 0.919 0.608
4 Te 0.392 0.768 0.081
5 Te 0.608 0.232 0.919
6 Te 0.768 0.081 0.392
7 Te 0.919 0.608 0.232
8 O 0.050 0.757 0.076
9 O 0.076 0.050 0.757
10 O 0.243 0.924 0.950
11 O 0.757 0.076 0.050
12 O 0.924 0.950 0.243
13 O 0.950 0.243 0.924
14 F 0.053 0.459 0.367
15 F 0.089 0.479 0.091
16 F 0.091 0.089 0.479
17 F 0.099 0.785 0.750
18 F 0.198 0.541 0.621
19 F 0.215 0.250 0.901
20 F 0.250 0.901 0.215
21 F 0.253 0.267 0.622
22 F 0.267 0.622 0.253
23 F 0.367 0.053 0.459
24 F 0.378 0.747 0.733
25 F 0.379 0.802 0.459
26 F 0.459 0.367 0.053
27 F 0.459 0.379 0.802
28 F 0.479 0.091 0.089
29 F 0.521 0.909 0.911
30 F 0.541 0.621 0.198
31 F 0.541 0.633 0.947
32 F 0.621 0.198 0.541
33 F 0.622 0.253 0.267
34 F 0.633 0.947 0.541
35 F 0.733 0.378 0.747
36 F 0.747 0.733 0.378
37 F 0.750 0.099 0.785
38 F 0.785 0.750 0.099
39 F 0.802 0.459 0.379
40 F 0.901 0.215 0.250
41 F 0.909 0.911 0.521
42 F 0.911 0.521 0.909
43 F 0.947 0.541 0.633

Top 10 peaks for 2θ = 15–90°, by angle:
- 2θ = 18.9°, 4.697 Å, I 23
- 2θ = 19.5°, 4.562 Å, I 12
- 2θ = 21.7°, 4.104 Å, I 100
- 2θ = 27.2°, 3.273 Å, I 28
- 2θ = 34.0°, 2.635 Å, I 11
- 2θ = 34.7°, 2.582 Å, I 20
- 2θ = 39.2°, 2.297 Å, I 22
- 2θ = 40.7°, 2.217 Å, I 10
- 2θ = 49.4°, 1.844 Å, I 10
- 2θ = 52.2°, 1.753 Å, I 21